Theoretical powder diffraction line list
Compound: Nb6CrMo
Radiation: CuKα
Structure: a structure optimized by DFT (GGA-PBE)
Lines closer than 0.1° are merged.

Crystal structure
a b c (Å): 7.322 7.322 7.322
angles (deg): 143.65 143.65 52.35
Atoms (fractional coordinates):
Nb: 0.119 0.619 0.500
Nb: 0.248 0.248 0.000
Nb: 0.381 0.881 0.500
Nb: 0.619 0.119 0.500
Nb: 0.752 0.752 0.000
Nb: 0.881 0.381 0.500
Cr: 0.000 0.000 0.000
Mo: 0.500 0.500 0.000

The 10 most intense peaks (2θ from 5° to 70°), sorted by position:
| two_theta | I/Imax |
| --- | --- |
| 20.6 | 1.7 |
| 28.2 | 1.1 |
| 30.9 | 1.7 |
| 39.1 | 100.0 |
| 39.5 | 49.3 |
| 41.2 | 0.7 |
| 49.2 | 0.5 |
| 56.0 | 8.2 |
| 57.0 | 16.4 |
| 58.4 | 1.0 |